# AuC5S4Cl4
Theoretical X-ray diffraction stick pattern, CuKα. Input: a crystal structure in the Materials Project, relaxed with GGA-PBE.

Structure:
a b c (Å): 15.187 11.471 8.137
angles (deg): 90.00 95.65 90.00
Space group C2/m (No. 12)
Unique sites:
Au  0.143  0.000  0.114 x4
C  0.021  0.500  0.926 x4
C  0.094  0.440  0.673 x8
C  0.137  0.218  0.603 x8
S  0.049  0.372  0.834 x8
S  0.140  0.351  0.523 x8
Cl  0.033  0.000  0.291 x4
Cl  0.151  0.202  0.126 x8
Cl  0.248  0.500  0.070 x4

Most intense lines, 2θ = 15–90°, low angle first:
hkl  2θ (°)  d (Å)  intensity
0 2 0  15.45  5.735  34
0 2 1  18.96  4.680  33
3 1 0  19.24  4.613  32
3 1 1  23.03  3.861  100
4 0 0  23.53  3.781  31
1 3 0  24.01  3.707  23
2 0 2  25.97  3.431  38
0 0 3  33.16  2.702  21
2 4 1  35.64  2.519  24
1 5 0  39.71  2.270  25